Record 1
For CaAcReO6, a GGA-PBE-relaxed structure gives the simulated powder diffractogram in this record (Cu Kα (weighted mean of Kα1 and Kα2)).

Principal peaks in the range 10 to 90 degrees two-theta, in order of rising 2θ:
18.3 deg, d = 4.854 Å, intensity 23, (1 0 0)
25.1 deg, d = 3.542 Å, intensity 100, (1 0 1)
31.9 deg, d = 2.803 Å, intensity 34, (1 1 0)
41.1 deg, d = 2.198 Å, intensity 26, (2 0 1)
47.8 deg, d = 1.902 Å, intensity 32, (2 -1 2)
52.9 deg, d = 1.730 Å, intensity 26, (3 -1 1)
56.6 deg, d = 1.627 Å, intensity 10, (1 0 3)
56.9 deg, d = 1.618 Å, intensity 10, (3 0 0)
72.5 deg, d = 1.303 Å, intensity 11, (3 1 1)
75.6 deg, d = 1.257 Å, intensity 10, (2 1 3)

Structure:
Cell: 5.6054 5.6054 5.1804 Å, 90.00 90.00 120.00°
Space group P312 (No. 149)
Symmetry-distinct sites (fractional):
Ca: 0.0000 0.0000 0.0000 (multiplicity 1)
Ac: 0.6667 0.3333 0.5000 (multiplicity 1)
Re: 0.3333 0.6667 0.0000 (multiplicity 1)
O: 0.0551 0.3869 0.2104 (multiplicity 6)

Record 2
For Lu2MgS4, a GGA-PBE-relaxed structure gives the simulated powder diffractogram in this record (Cu Kα (weighted mean of Kα1 and Kα2)).

Principal peaks in the range 10 to 90 degrees two-theta, in order of rising 2θ:
19.7 deg, d = 4.506 Å, intensity 100, (2 0 0)
26.6 deg, d = 3.355 Å, intensity 85, (1 1 2)
28.0 deg, d = 3.186 Å, intensity 24, (2 2 0)
39.0 deg, d = 2.310 Å, intensity 87, (3 1 2)
40.0 deg, d = 2.253 Å, intensity 28, (4 0 0)
45.0 deg, d = 2.015 Å, intensity 14, (4 2 0)
48.7 deg, d = 1.870 Å, intensity 30, (3 3 2)
50.5 deg, d = 1.807 Å, intensity 23, (2 0 4)
66.3 deg, d = 1.410 Å, intensity 13, (4 2 4)
80.4 deg, d = 1.195 Å, intensity 16, (6 0 4)

Structure:
Cell: 9.0122 9.0122 7.8927 Å, 90.00 90.00 90.00°
Space group I-42d (No. 122)
Symmetry-distinct sites (fractional):
Lu: 0.2252 0.2500 0.1250 (multiplicity 8)
Mg: 0.0000 0.0000 0.5000 (multiplicity 4)
S: 0.0488 0.2443 0.8564 (multiplicity 16)

Record 3
For Zr2InOs, a GGA-PBE-relaxed structure gives the simulated powder diffractogram in this record (Cu Kα (weighted mean of Kα1 and Kα2)).

Principal peaks in the range 10 to 90 degrees two-theta, in order of rising 2θ:
11.1 deg, d = 7.965 Å, intensity 47, (0 0 1)
35.8 deg, d = 2.507 Å, intensity 52, (1 0 -2)
36.1 deg, d = 2.491 Å, intensity 100, (0 1 2)
36.2 deg, d = 2.480 Å, intensity 48, (1 0 2)
39.9 deg, d = 2.259 Å, intensity 82, (1 1 0)
45.6 deg, d = 1.991 Å, intensity 20, (0 0 4)
57.7 deg, d = 1.598 Å, intensity 28, (0 2 0)
61.9 deg, d = 1.500 Å, intensity 16, (1 1 -4)
62.4 deg, d = 1.488 Å, intensity 16, (1 1 4)
70.1 deg, d = 1.342 Å, intensity 27, (1 2 2)

Structure:
Cell: 3.1974 3.1932 7.9658 Å, 90.00 90.63 90.00°
Space group P2/m (No. 10)
Symmetry-distinct sites (fractional):
Zr: 0.0073 0.0000 0.2886 (multiplicity 2)
In: 0.5000 0.5000 0.0000 (multiplicity 1)
Os: 0.5000 0.5000 0.5000 (multiplicity 1)

Record 4
For LiTeOs2W, a GGA-PBE-relaxed structure gives the simulated powder diffractogram in this record (Cu Kα (weighted mean of Kα1 and Kα2)).

Principal peaks in the range 10 to 90 degrees two-theta, in order of rising 2θ:
20.4 deg, d = 4.345 Å, intensity 1, (0 0 1)
20.9 deg, d = 4.253 Å, intensity 2, (1 0 0)
36.3 deg, d = 2.473 Å, intensity 100, (1 1 1)
41.6 deg, d = 2.173 Å, intensity 18, (0 0 2)
42.5 deg, d = 2.127 Å, intensity 33, (2 0 0)
61.0 deg, d = 1.520 Å, intensity 23, (2 0 2)
61.7 deg, d = 1.504 Å, intensity 11, (2 2 0)
72.4 deg, d = 1.305 Å, intensity 14, (1 1 3)
73.7 deg, d = 1.285 Å, intensity 26, (3 1 1)
77.1 deg, d = 1.236 Å, intensity 12, (2 2 2)

Structure:
Cell: 4.2532 4.2532 4.3454 Å, 90.00 90.00 90.00°
Space group P4/mmm (No. 123)
Symmetry-distinct sites (fractional):
Li: 0.0000 0.0000 0.0000 (multiplicity 1)
Te: 0.5000 0.5000 0.5000 (multiplicity 1)
Os: 0.0000 0.5000 0.0000 (multiplicity 2)
W: 0.0000 0.0000 0.5000 (multiplicity 1)

Record 5
For Ac3DyPd12, a GGA-PBE-relaxed structure gives the simulated powder diffractogram in this record (Cu Kα (weighted mean of Kα1 and Kα2)).

Principal peaks in the range 10 to 90 degrees two-theta, in order of rising 2θ:
20.8 deg, d = 4.268 Å, intensity 10, (0 0 4)
29.6 deg, d = 3.018 Å, intensity 8, (1 1 0)
36.5 deg, d = 2.464 Å, intensity 100, (1 1 4)
42.4 deg, d = 2.134 Å, intensity 49, (2 0 0)
47.6 deg, d = 1.909 Å, intensity 5, (2 0 4)
52.5 deg, d = 1.742 Å, intensity 4, (1 1 8)
61.4 deg, d = 1.509 Å, intensity 32, (2 2 0)
65.6 deg, d = 1.423 Å, intensity 3, (0 0 12)
73.6 deg, d = 1.287 Å, intensity 36, (3 1 4)
77.5 deg, d = 1.232 Å, intensity 10, (2 2 8)

Structure:
Cell: 4.2694 4.2694 17.0596 Å, 90.00 90.00 90.00°
Space group P4/mmm (No. 123)
Symmetry-distinct sites (fractional):
Ac: 0.0000 0.0000 0.0000 (multiplicity 1)
Ac: 0.0000 0.0000 0.2566 (multiplicity 2)
Dy: 0.0000 0.0000 0.5000 (multiplicity 1)
Pd: 0.0000 0.5000 0.1277 (multiplicity 4)
Pd: 0.0000 0.5000 0.3841 (multiplicity 4)
Pd: 0.5000 0.5000 0.0000 (multiplicity 1)
Pd: 0.5000 0.5000 0.2553 (multiplicity 2)
Pd: 0.5000 0.5000 0.5000 (multiplicity 1)

Record 6
For NaPdAuS2, a GGA-PBE-relaxed structure gives the simulated powder diffractogram in this record (Cu Kα (weighted mean of Kα1 and Kα2)).

Principal peaks in the range 10 to 90 degrees two-theta, in order of rising 2θ:
14.7 deg, d = 6.031 Å, intensity 100, (1 0 0)
29.6 deg, d = 3.015 Å, intensity 17, (2 0 0)
31.5 deg, d = 2.842 Å, intensity 26, (0 1 2)
32.4 deg, d = 2.763 Å, intensity 34, (1 1 -2)
37.2 deg, d = 2.414 Å, intensity 32, (1 1 2)
37.5 deg, d = 2.398 Å, intensity 12, (0 2 0)
39.6 deg, d = 2.275 Å, intensity 25, (2 1 -2)
40.5 deg, d = 2.229 Å, intensity 21, (1 2 0)
47.6 deg, d = 1.909 Å, intensity 14, (2 1 2)
50.9 deg, d = 1.795 Å, intensity 13, (3 1 -2)

Structure:
Cell: 6.1766 4.7965 7.2266 Å, 90.00 102.47 90.00°
Space group P2/c (No. 13)
Symmetry-distinct sites (fractional):
Na: 0.0000 0.1447 0.2500 (multiplicity 2)
Pd: 0.5000 0.4949 0.2500 (multiplicity 2)
Au: 0.5000 0.0000 0.0000 (multiplicity 2)
S: 0.2486 0.3823 0.9546 (multiplicity 4)

Record 7
For Pr2U3Se8, a GGA-PBE-relaxed structure gives the simulated powder diffractogram in this record (Cu Kα (weighted mean of Kα1 and Kα2)).

Principal peaks in the range 10 to 90 degrees two-theta, in order of rising 2θ:
10.9 deg, d = 8.154 Å, intensity 11, (1 1 0)
12.4 deg, d = 7.162 Å, intensity 25, (0 2 0)
21.8 deg, d = 4.083 Å, intensity 36, (0 2 1)
35.8 deg, d = 2.508 Å, intensity 100, (2 4 1)
36.1 deg, d = 2.490 Å, intensity 26, (0 0 2)
36.2 deg, d = 2.480 Å, intensity 24, (4 0 0)
52.0 deg, d = 1.757 Å, intensity 17, (4 0 2)
64.7 deg, d = 1.441 Å, intensity 18, (2 4 3)
64.9 deg, d = 1.437 Å, intensity 16, (6 4 1)
87.7 deg, d = 1.113 Å, intensity 12, (4 0 4)

Structure:
Cell: 9.9181 14.3230 4.9803 Å, 90.00 90.00 90.00°
Space group Cmmm (No. 65)
Symmetry-distinct sites (fractional):
Pr: 0.0000 0.2335 0.0000 (multiplicity 4)
U: 0.0000 0.5000 0.0000 (multiplicity 2)
U: 0.2354 0.0000 0.5000 (multiplicity 4)
Se: 0.0000 0.1221 0.5000 (multiplicity 4)
Se: 0.0000 0.3866 0.5000 (multiplicity 4)
Se: 0.2378 0.3805 0.0000 (multiplicity 8)

Record 8
For YNbNi, a GGA-PBE-relaxed structure gives the simulated powder diffractogram in this record (Cu Kα (weighted mean of Kα1 and Kα2)).

Principal peaks in the range 10 to 90 degrees two-theta, in order of rising 2θ:
31.2 deg, d = 2.869 Å, intensity 33, (2 0 0)
32.6 deg, d = 2.750 Å, intensity 89, (1 2 1)
37.6 deg, d = 2.391 Å, intensity 87, (2 1 1)
37.7 deg, d = 2.384 Å, intensity 61, (1 3 0)
38.5 deg, d = 2.339 Å, intensity 37, (0 3 1)
38.9 deg, d = 2.317 Å, intensity 55, (2 2 0)
39.8 deg, d = 2.262 Å, intensity 100, (1 1 2)
41.7 deg, d = 2.164 Å, intensity 49, (0 2 2)
61.4 deg, d = 1.510 Å, intensity 27, (3 1 2)
68.2 deg, d = 1.375 Å, intensity 42, (2 4 2)

Structure:
Cell: 5.7370 7.8648 5.1841 Å, 90.00 90.00 90.00°
Space group Ima2 (No. 46)
Symmetry-distinct sites (fractional):
Y: 0.2500 0.1209 0.0000 (multiplicity 4)
Nb: 0.2500 0.7219 0.8015 (multiplicity 4)
Ni: 0.0000 0.0000 0.5264 (multiplicity 4)

Record 9
For CsAu5, a GGA-PBE-relaxed structure gives the simulated powder diffractogram in this record (Cu Kα (weighted mean of Kα1 and Kα2)).

Principal peaks in the range 10 to 90 degrees two-theta, in order of rising 2θ:
14.8 deg, d = 5.974 Å, intensity 100, (0 0 1)
29.3 deg, d = 3.051 Å, intensity 33, (1 1 -1)
29.4 deg, d = 3.039 Å, intensity 34, (1 1 1)
33.8 deg, d = 2.651 Å, intensity 36, (1 0 -2)
34.0 deg, d = 2.635 Å, intensity 34, (1 0 2)
36.0 deg, d = 2.494 Å, intensity 66, (0 1 2)
37.4 deg, d = 2.403 Å, intensity 84, (2 1 0)
39.8 deg, d = 2.266 Å, intensity 61, (0 2 0)
40.4 deg, d = 2.234 Å, intensity 44, (2 1 -1)
40.6 deg, d = 2.225 Å, intensity 44, (2 1 1)

Structure:
Cell: 5.6686 4.5315 5.9742 Å, 90.00 90.42 90.00°
Space group P2/m (No. 10)
Symmetry-distinct sites (fractional):
Cs: 0.0000 0.0000 0.0000 (multiplicity 1)
Au: 0.0000 0.5000 0.5000 (multiplicity 1)
Au: 0.2656 0.0000 0.5019 (multiplicity 2)
Au: 0.4994 0.5000 0.7597 (multiplicity 2)

Record 10
For Mg4InHg3, a GGA-PBE-relaxed structure gives the simulated powder diffractogram in this record (Cu Kα (weighted mean of Kα1 and Kα2)).

Principal peaks in the range 10 to 90 degrees two-theta, in order of rising 2θ:
24.4 deg, d = 3.655 Å, intensity 37, (1 0 0)
25.8 deg, d = 3.458 Å, intensity 64, (0 1 2)
35.7 deg, d = 2.512 Å, intensity 100, (1 1 2)
36.8 deg, d = 2.446 Å, intensity 46, (0 2 0)
44.6 deg, d = 2.032 Å, intensity 31, (1 0 4)
53.0 deg, d = 1.729 Å, intensity 16, (0 2 4)
57.0 deg, d = 1.616 Å, intensity 15, (2 1 2)
59.1 deg, d = 1.563 Å, intensity 13, (1 2 4)
63.6 deg, d = 1.464 Å, intensity 19, (2 2 0)
65.5 deg, d = 1.424 Å, intensity 34, (1 3 2)

Structure:
Cell: 3.6547 4.8955 9.7730 Å, 90.00 90.00 90.00°
Space group Pmmm (No. 47)
Symmetry-distinct sites (fractional):
Mg: 0.0000 0.0000 0.0000 (multiplicity 1)
Mg: 0.0000 0.0000 0.5000 (multiplicity 1)
Mg: 0.0000 0.5000 0.2411 (multiplicity 2)
In: 0.5000 0.5000 0.5000 (multiplicity 1)
Hg: 0.5000 0.0000 0.2522 (multiplicity 2)
Hg: 0.5000 0.5000 0.0000 (multiplicity 1)

Record 11
For SbTe2, a GGA-PBE-relaxed structure gives the simulated powder diffractogram in this record (Cu Kα (weighted mean of Kα1 and Kα2)).

Principal peaks in the range 10 to 90 degrees two-theta, in order of rising 2θ:
26.3 deg, d = 3.389 Å, intensity 100, (1 0 1)
26.6 deg, d = 3.348 Å, intensity 56, (1 2 0)
28.3 deg, d = 3.149 Å, intensity 65, (1 1 1)
34.8 deg, d = 2.576 Å, intensity 24, (2 1 0)
35.7 deg, d = 2.517 Å, intensity 42, (1 3 0)
37.8 deg, d = 2.380 Å, intensity 70, (0 3 1)
40.7 deg, d = 2.216 Å, intensity 28, (2 1 1)
41.5 deg, d = 2.176 Å, intensity 34, (0 0 2)
44.8 deg, d = 2.021 Å, intensity 34, (2 2 1)
72.0 deg, d = 1.312 Å, intensity 26, (3 4 1)

Structure:
Cell: 5.4040 8.5310 4.3505 Å, 90.00 90.00 90.00°
Space group Pnnm (No. 58)
Symmetry-distinct sites (fractional):
Sb: 0.0000 0.0000 0.0000 (multiplicity 2)
Te: 0.1551 0.3530 0.0000 (multiplicity 4)

Record 12
For Mg14AlNi, a GGA-PBE-relaxed structure gives the simulated powder diffractogram in this record (Cu Kα (weighted mean of Kα1 and Kα2)).

Principal peaks in the range 10 to 90 degrees two-theta, in order of rising 2θ:
16.5 deg, d = 5.372 Å, intensity 6, (1 0 0)
18.7 deg, d = 4.741 Å, intensity 6, (1 0 1)
33.4 deg, d = 2.686 Å, intensity 25, (2 0 0)
35.6 deg, d = 2.521 Å, intensity 26, (0 0 4)
38.0 deg, d = 2.371 Å, intensity 100, (2 0 2)
49.6 deg, d = 1.838 Å, intensity 15, (2 0 4)
59.6 deg, d = 1.551 Å, intensity 17, (2 2 0)
65.5 deg, d = 1.425 Å, intensity 18, (2 0 6)
71.4 deg, d = 1.321 Å, intensity 18, (2 2 4)
72.9 deg, d = 1.298 Å, intensity 13, (4 0 2)

Structure:
Cell: 6.2031 6.2031 10.0836 Å, 90.00 90.00 120.00°
Space group P-6m2 (No. 187)
Symmetry-distinct sites (fractional):
Mg: 0.0000 0.0000 0.2481 (multiplicity 2)
Mg: 0.0107 0.5054 0.2611 (multiplicity 6)
Mg: 0.3296 0.1648 0.5000 (multiplicity 3)
Mg: 0.3354 0.1677 0.0000 (multiplicity 3)
Al: 0.3333 0.6667 0.0000 (multiplicity 1)
Ni: 0.3333 0.6667 0.5000 (multiplicity 1)

Record 13
For Sr2Mg6AlCd, a GGA-PBE-relaxed structure gives the simulated powder diffractogram in this record (Cu Kα (weighted mean of Kα1 and Kα2)).

Principal peaks in the range 10 to 90 degrees two-theta, in order of rising 2θ:
18.6 deg, d = 4.766 Å, intensity 36, (1 1 1)
21.9 deg, d = 4.064 Å, intensity 69, (2 0 0)
24.2 deg, d = 3.681 Å, intensity 100, (1 2 1)
28.3 deg, d = 3.156 Å, intensity 27, (2 2 0)
30.4 deg, d = 2.942 Å, intensity 93, (0 2 2)
34.3 deg, d = 2.614 Å, intensity 30, (2 1 2)
35.8 deg, d = 2.509 Å, intensity 47, (0 4 0)
36.5 deg, d = 2.461 Å, intensity 37, (3 1 1)
37.8 deg, d = 2.383 Å, intensity 54, (2 2 2)
38.8 deg, d = 2.320 Å, intensity 31, (1 0 3)

Structure:
Cell: 8.1284 10.0367 7.2618 Å, 90.00 90.00 90.00°
Space group Pmmn (No. 59, origin choice 2)
Symmetry-distinct sites (fractional):
Sr: 0.2500 0.0088 0.2435 (multiplicity 4)
Mg: 0.0626 0.2500 0.9086 (multiplicity 4)
Mg: 0.0675 0.7500 0.5574 (multiplicity 4)
Mg: 0.2500 0.0008 0.7387 (multiplicity 4)
Al: 0.2500 0.2500 0.5646 (multiplicity 2)
Cd: 0.2500 0.7500 0.9248 (multiplicity 2)